# NdSm15Tl4
Computed PXRD pattern, Cu Ka. Input: the GGA-PBE geometry in Alexandria.

Main lines, by angle (10 to 80 degrees two-theta):
| d_spacing | 2θ/deg | I_rel | (hkl) |
| --- | --- | --- | --- |
| 2.877 | 31.1 | 100 | 1 1 5 |
| 2.692 | 33.3 | 1 | 1 1 6 |
| 2.531 | 35.5 | 17 | 0 0 10 |
| 2.472 | 36.3 | 34 | 2 0 0 |
| 1.769 | 51.7 | 23 | 2 0 10 |
| 1.748 | 52.3 | 12 | 2 2 0 |
| 1.520 | 61.0 | 13 | 1 1 15 |
| 1.494 | 62.1 | 28 | 3 1 5 |
| 1.438 | 64.8 | 12 | 2 2 10 |
| 1.236 | 77.2 | 4 | 4 0 0 |

Structural model:
```
20
Lattice="4.944 0.000 0.000 0.000 4.944 0.000 0.000 0.000 25.315" Properties=species:S:1:pos:R:3 pbc="T T T"
Nd 0.000 0.000 0.000
Sm 0.000 2.472 2.690
Sm 0.000 2.472 7.688
Sm 0.000 2.472 12.657
Sm 0.000 2.472 17.626
Sm 0.000 2.472 22.624
Sm 2.472 0.000 2.690
Sm 2.472 0.000 7.688
Sm 2.472 0.000 12.657
Sm 2.472 0.000 17.626
Sm 2.472 0.000 22.624
Sm 2.472 2.472 0.000
Sm 2.472 2.472 5.215
Sm 2.472 2.472 10.171
Sm 2.472 2.472 15.143
Sm 2.472 2.472 20.100
Tl 0.000 0.000 5.231
Tl 0.000 0.000 10.181
Tl 0.000 0.000 15.134
Tl 0.000 0.000 20.083
```